# 1
This entry pairs a crystal structure of PrSmB4Os4 with its theoretical powder X-ray diffraction pattern. Radiation: Cu Kα (weighted mean of Kα1 and Kα2). Structure: a cell relaxed with GGA-PBE.
Peak positions follow from Bragg's law for the DFT cell and can differ from measured ones.

Main lines, by angle (5 to 70 degrees two-theta):
d 4.730, rel. 17
d 2.839, rel. 94
d 2.681, rel. 100
d 2.280, rel. 33
d 2.130, rel. 46
d 1.807, rel. 26
d 1.658, rel. 13
d 1.577, rel. 18
d 1.557, rel. 15
d 1.382, rel. 16

Cell and atoms:
```
PrSmB4Os4
1.0
0.0000 4.5594 5.0185
3.3152 0.0000 5.0185
3.3152 4.5594 0.0000
Pr Sm B Os
1 1 4 4
Cartesian
0.0000 0.0000 0.0000
1.6576 2.2797 2.5092
3.3152 2.8705 5.0185
4.9728 5.1352 7.5277
3.3152 6.2482 5.0185
4.9728 8.5429 7.5277
3.3152 4.5594 3.6424
4.9728 6.8391 6.1584
3.3152 4.5594 6.3946
4.9728 6.8391 8.8971
```

=====

# 2
This entry pairs a crystal structure of RbFeSeS with its theoretical powder X-ray diffraction pattern. Radiation: Cu Kα (weighted mean of Kα1 and Kα2). Structure: a cell relaxed with GGA-PBE.
Peak positions follow from Bragg's law for the DFT cell and can differ from measured ones.

Main lines, by angle (5 to 70 degrees two-theta):
d 5.889, rel. 62
d 3.403, rel. 56
d 3.357, rel. 68
d 3.002, rel. 100
d 2.951, rel. 18
d 2.616, rel. 33
d 2.557, rel. 17
d 2.257, rel. 48
d 1.958, rel. 34
d 1.793, rel. 19

Cell and atoms:
```
RbFeSeS
1.0
3.6515 -5.9023 0.0000
3.6515 5.9023 0.0000
-2.0565 0.0000 5.1146
Rb Fe Se S
2 2 2 2
Cartesian
2.6232 4.2089 2.5573
3.6515 -4.2089 0.0000
1.5155 0.0158 5.0445
2.5438 -0.0158 2.4872
4.2969 1.3127 1.7109
3.2687 -1.3127 4.2682
0.8889 1.1533 3.2973
1.9171 -1.1533 0.7400
```

=====

# 3
This entry pairs a crystal structure of NdDyIn2I2 with its theoretical powder X-ray diffraction pattern. Radiation: Cu Kα (weighted mean of Kα1 and Kα2). Structure: a cell relaxed with GGA-PBE.
Peak positions follow from Bragg's law for the DFT cell and can differ from measured ones.

Main lines, by angle (5 to 70 degrees two-theta):
d 11.742, rel. 72
d 3.737, rel. 18
d 3.272, rel. 100
d 2.777, rel. 95
d 2.276, rel. 69
d 2.017, rel. 36
d 1.868, rel. 20
d 1.760, rel. 24
d 1.444, rel. 17
d 1.392, rel. 22

Cell and atoms:
```
NdDyIn2I2
1.0
4.5513 0.0000 0.0000
-2.2757 3.9416 0.0000
0.0000 0.0000 11.7419
Nd Dy In I
1 1 2 2
Cartesian
0.0000 0.0000 0.0000
0.0000 0.0000 4.3699
0.0000 2.6277 2.7355
2.2757 1.3139 1.7485
0.0000 2.6277 9.7941
2.2757 1.3139 6.2085
```